# 1
Starting from a cell relaxed with GGA-PBE, the X-ray powder pattern of Ba2BiPtAu6 was computed for λ = 1.5418 Å (Cu Kα).
Lines closer than 0.1° are merged.

Largest 10 diffraction maxima, low angle first, 2θ = 10–90°:
| 2theta | Rel. int. |
| --- | --- |
| 12.5 | 33.9 |
| 18.1 | 64.1 |
| 25.5 | 36.5 |
| 25.9 | 39.2 |
| 36.1 | 46.6 |
| 36.6 | 81.2 |
| 36.7 | 100.0 |
| 37.1 | 42.5 |
| 40.9 | 35.5 |
| 41.5 | 37.2 |

Crystal structure
```
Ba2BiPtAu6
1.0
6.8377 -2.8250 0.0000
6.8377 2.8250 0.0000
-6.8356 0.0000 7.0652
Ba Bi Pt Au
2 1 1 6
direct
0.2333 0.2333 0.2658 Ba
0.7667 0.7667 0.7342 Ba
0.0000 0.0000 0.5000 Bi
0.5000 0.5000 0.0000 Pt
0.2445 0.7397 0.2321 Au
0.2556 0.2556 0.9106 Au
0.2603 0.7555 0.7679 Au
0.7397 0.2445 0.2321 Au
0.7444 0.7444 0.0894 Au
0.7555 0.2603 0.7679 Au
```

=====

# 2
Starting from a cell relaxed with GGA-PBE, the X-ray powder pattern of CeGe3Pd10 was computed for λ = 1.5418 Å (Cu Kα).
Lines closer than 0.1° are merged.

Largest 10 diffraction maxima, low angle first, 2θ = 10–90°:
| 2theta | Rel. int. |
| --- | --- |
| 32.1 | 31.6 |
| 35.2 | 16.7 |
| 37.4 | 100.0 |
| 40.9 | 52.4 |
| 42.9 | 54.9 |
| 48.4 | 40.3 |
| 63.2 | 24.0 |
| 68.5 | 14.5 |
| 74.5 | 30.3 |
| 89.9 | 13.4 |

Crystal structure
```
CeGe3Pd10
1.0
0.0000 6.2429 6.2429
6.2429 0.0000 6.2429
6.2429 6.2429 0.0000
Ce Ge Pd
2 6 20
direct
0.2500 0.2500 0.2500 Ce
0.7500 0.7500 0.7500 Ce
0.2357 0.2357 0.7643 Ge
0.2357 0.7643 0.2357 Ge
0.2357 0.7643 0.7643 Ge
0.7643 0.2357 0.2357 Ge
0.7643 0.2357 0.7643 Ge
0.7643 0.7643 0.2357 Ge
0.1184 0.1184 0.1184 Pd
0.1184 0.1184 0.6449 Pd
0.1184 0.6449 0.1184 Pd
0.1516 0.5000 0.5000 Pd
0.1516 0.5000 0.8484 Pd
0.1516 0.8484 0.5000 Pd
0.3551 0.8816 0.8816 Pd
0.5000 0.1516 0.5000 Pd
0.5000 0.1516 0.8484 Pd
0.5000 0.5000 0.1516 Pd
0.5000 0.5000 0.8484 Pd
0.5000 0.8484 0.1516 Pd
0.5000 0.8484 0.5000 Pd
0.6449 0.1184 0.1184 Pd
0.8484 0.1516 0.5000 Pd
0.8484 0.5000 0.1516 Pd
0.8484 0.5000 0.5000 Pd
0.8816 0.3551 0.8816 Pd
0.8816 0.8816 0.3551 Pd
0.8816 0.8816 0.8816 Pd
```

=====

# 3
Starting from a cell relaxed with GGA-PBE, the X-ray powder pattern of Pm2AlPPt6 was computed for λ = 1.5418 Å (Cu Kα).
Lines closer than 0.1° are merged.

Largest 10 diffraction maxima, low angle first, 2θ = 10–90°:
| 2theta | Rel. int. |
| --- | --- |
| 10.8 | 30.2 |
| 27.0 | 28.2 |
| 30.1 | 85.7 |
| 34.2 | 31.9 |
| 38.5 | 100.0 |
| 39.0 | 55.5 |
| 42.1 | 45.0 |
| 42.4 | 30.4 |
| 44.6 | 20.9 |
| 58.7 | 32.5 |

Crystal structure
```
Pm2AlPPt6
1.0
5.5823 0.0000 0.0000
0.0000 8.5854 0.0000
0.0000 0.0000 8.2066
Pm Al P Pt
4 2 2 12
direct
0.2500 0.0117 0.2265 Pm
0.2500 0.4883 0.2265 Pm
0.7500 0.5117 0.7735 Pm
0.7500 0.9883 0.7735 Pm
0.2500 0.7500 0.7780 Al
0.7500 0.2500 0.2220 Al
0.2500 0.2500 0.7416 P
0.7500 0.7500 0.2584 P
0.0004 0.2500 0.9733 Pt
0.9996 0.7500 0.0267 Pt
0.0011 0.7500 0.5155 Pt
0.2500 0.0040 0.6180 Pt
0.2500 0.4960 0.6180 Pt
0.4989 0.7500 0.5155 Pt
0.4996 0.2500 0.9733 Pt
0.5004 0.7500 0.0267 Pt
0.5011 0.2500 0.4845 Pt
0.7500 0.5040 0.3820 Pt
0.7500 0.9960 0.3820 Pt
0.9989 0.2500 0.4845 Pt
```

=====

# 4
Starting from a cell relaxed with GGA-PBE, the X-ray powder pattern of Rb12I4ClO3 was computed for λ = 1.5418 Å (Cu Kα).
Lines closer than 0.1° are merged.

Largest 10 diffraction maxima, low angle first, 2θ = 10–90°:
| 2theta | Rel. int. |
| --- | --- |
| 21.4 | 8.7 |
| 26.2 | 100.0 |
| 30.4 | 64.2 |
| 43.5 | 44.4 |
| 51.5 | 41.8 |
| 54.0 | 14.7 |
| 69.7 | 15.5 |
| 71.8 | 17.3 |
| 79.9 | 12.3 |
| 85.8 | 11.3 |

Crystal structure
```
Rb12I4ClO3
1.0
-5.8827 5.8827 5.8827
5.8827 -5.8827 5.8827
5.8827 5.8827 -5.8827
Rb I Cl O
12 4 1 3
direct
0.0000 0.2759 0.2759 Rb
0.0000 0.7241 0.7241 Rb
0.2500 0.5000 0.7500 Rb
0.2500 0.7500 0.5000 Rb
0.2759 0.0000 0.2759 Rb
0.2759 0.2759 0.0000 Rb
0.5000 0.2500 0.7500 Rb
0.5000 0.7500 0.2500 Rb
0.7241 0.0000 0.7241 Rb
0.7241 0.7241 0.0000 Rb
0.7500 0.2500 0.5000 Rb
0.7500 0.5000 0.2500 Rb
0.0000 0.0000 0.5000 I
0.0000 0.5000 0.0000 I
0.5000 0.0000 0.0000 I
0.5000 0.5000 0.5000 I
0.0000 0.0000 0.0000 Cl
0.0000 0.5000 0.5000 O
0.5000 0.0000 0.5000 O
0.5000 0.5000 0.0000 O
```

=====

# 5
Starting from a cell relaxed with GGA-PBE, the X-ray powder pattern of Pm2Sm4Tl was computed for λ = 1.5418 Å (Cu Kα).
Lines closer than 0.1° are merged.

Largest 10 diffraction maxima, low angle first, 2θ = 10–90°:
| 2theta | Rel. int. |
| --- | --- |
| 26.2 | 20.9 |
| 30.6 | 100.0 |
| 30.7 | 21.5 |
| 31.1 | 61.3 |
| 31.6 | 50.9 |
| 32.5 | 24.7 |
| 32.7 | 25.5 |
| 41.1 | 17.3 |
| 53.8 | 19.2 |
| 63.7 | 16.6 |

Crystal structure
```
Pm2Sm4Tl
1.0
5.8450 0.0000 0.0000
0.0000 6.8144 0.0000
-2.7370 0.0000 11.4463
Pm Sm Tl
4 8 2
direct
0.0239 0.2500 0.4758 Pm
0.3373 0.7500 0.0703 Pm
0.6627 0.2500 0.9297 Pm
0.9761 0.7500 0.5242 Pm
0.1571 0.0088 0.7851 Sm
0.1571 0.4912 0.7851 Sm
0.2194 0.2500 0.0686 Sm
0.4049 0.7500 0.3714 Sm
0.5951 0.2500 0.6286 Sm
0.7806 0.7500 0.9314 Sm
0.8429 0.5088 0.2149 Sm
0.8429 0.9912 0.2149 Sm
0.4548 0.2500 0.3408 Tl
0.5452 0.7500 0.6592 Tl
```

=====

# 6
Starting from a cell relaxed with GGA-PBE, the X-ray powder pattern of Ac2ReN4 was computed for λ = 1.5418 Å (Cu Kα).
Lines closer than 0.1° are merged.

Largest 10 diffraction maxima, low angle first, 2θ = 10–90°:
| 2theta | Rel. int. |
| --- | --- |
| 19.6 | 18.4 |
| 21.2 | 36.7 |
| 22.8 | 31.2 |
| 29.4 | 66.8 |
| 29.9 | 100.0 |
| 30.3 | 41.2 |
| 32.5 | 29.2 |
| 36.2 | 31.4 |
| 37.4 | 39.7 |
| 43.1 | 37.9 |

Crystal structure
```
Ac2ReN4
1.0
6.2414 0.0000 0.0000
0.0000 5.9748 0.0000
-2.4183 0.0000 6.9119
Ac Re N
4 2 8
direct
0.2041 0.2500 0.0405 Ac
0.2859 0.2500 0.5681 Ac
0.7141 0.7500 0.4319 Ac
0.7959 0.7500 0.9595 Ac
0.2518 0.7500 0.8013 Re
0.7482 0.2500 0.1987 Re
0.0531 0.5080 0.7462 N
0.0531 0.9920 0.7462 N
0.4149 0.7500 0.0643 N
0.4368 0.7500 0.6453 N
0.5632 0.2500 0.3547 N
0.5851 0.2500 0.9357 N
0.9469 0.0080 0.2538 N
0.9469 0.4920 0.2538 N
```

=====

# 7
Starting from a cell relaxed with GGA-PBE, the X-ray powder pattern of Cs4PtI8 was computed for λ = 1.5418 Å (Cu Kα).
Lines closer than 0.1° are merged.

Largest 10 diffraction maxima, low angle first, 2θ = 10–90°:
| 2theta | Rel. int. |
| --- | --- |
| 11.2 | 31.9 |
| 16.2 | 39.2 |
| 17.9 | 26.7 |
| 22.5 | 81.3 |
| 25.6 | 100.0 |
| 28.9 | 71.9 |
| 31.1 | 93.6 |
| 32.8 | 44.5 |
| 45.8 | 63.5 |
| 50.1 | 24.0 |

Crystal structure
```
Cs4PtI8
1.0
0.0000 7.4773 9.0183
5.4569 0.0000 9.0183
5.4569 7.4773 0.0000
Cs Pt I
4 1 8
direct
0.0000 0.0000 0.5000 Cs
0.0000 0.5000 0.0000 Cs
0.5000 0.0000 0.5000 Cs
0.5000 0.5000 0.0000 Cs
0.0000 0.0000 0.0000 Pt
0.0147 0.7715 0.2285 I
0.2285 0.9853 0.0147 I
0.2618 0.4854 0.5146 I
0.4854 0.2618 0.7382 I
0.5146 0.7382 0.2618 I
0.7382 0.5146 0.4854 I
0.7715 0.0147 0.9853 I
0.9853 0.2285 0.7715 I
```

=====

# 8
Starting from a cell relaxed with GGA-PBE, the X-ray powder pattern of Pm2TmN3 was computed for λ = 1.5418 Å (Cu Kα).
Lines closer than 0.1° are merged.

Largest 10 diffraction maxima, low angle first, 2θ = 10–90°:
| 2theta | Rel. int. |
| --- | --- |
| 11.8 | 1.5 |
| 30.8 | 100.0 |
| 35.7 | 72.5 |
| 39.2 | 0.6 |
| 51.5 | 50.0 |
| 61.2 | 45.0 |
| 64.2 | 16.8 |
| 75.7 | 7.7 |
| 84.0 | 18.9 |
| 86.7 | 22.1 |

Crystal structure
```
Pm2TmN3
1.0
-1.7766 1.7766 7.5308
1.7766 -1.7766 7.5308
1.7766 1.7766 -7.5308
Pm Tm N
2 1 3
direct
0.1633 0.1633 0.0000 Pm
0.8367 0.8367 0.0000 Pm
0.5000 0.5000 0.0000 Tm
0.0000 0.0000 0.0000 N
0.3399 0.3399 0.0000 N
0.6601 0.6601 0.0000 N
```